For RhCCl2, a PBE-relaxed structure gives the calculated X-ray powder pattern in this record (Cu Kα, 1.54184 Å).
Peak positions follow from Bragg's law for the DFT cell and can differ from measured ones.

Structural model:
```
8
Lattice="-3.232 3.232 3.034 3.232 -3.232 3.034 3.232 3.232 -3.034" Properties=species:S:1:pos:R:3 pbc="T T T"
Rh 0.000 0.000 0.000
Rh 0.000 3.232 1.517
C 3.232 0.000 1.517
C 0.000 0.000 3.034
Cl 1.616 -1.601 2.276
Cl 1.631 1.616 0.759
Cl 1.616 4.833 -0.759
Cl 1.601 1.616 3.793
```

Principal peaks in the range 2θ = 10–90°, sorted by position:
2theta	I (rel.)
20.1	100
34.4	54
35.5	100
39.4	69
53.3	15
54.1	55
55.4	14
57.0	22
68.3	24
82.5	15

For Rb2SrAgI6, a PBE-relaxed structure gives the calculated X-ray powder pattern in this record (Cu Kα, 1.54184 Å).
Peak positions follow from Bragg's law for the DFT cell and can differ from measured ones.

Structural model:
```
10
Lattice="0.000 6.167 6.167 6.167 0.000 6.167 6.167 6.167 0.000" Properties=species:S:1:pos:R:3 pbc="T T T"
Rb 3.083 3.083 3.083
Rb 9.250 9.250 9.250
Sr 0.000 0.000 0.000
Ag 6.167 6.167 6.167
I 6.167 6.167 3.211
I 6.167 3.211 6.167
I 9.123 6.167 6.167
I 3.211 6.167 6.167
I 6.167 9.123 6.167
I 6.167 6.167 9.123
```

Principal peaks in the range 2θ = 10–90°, sorted by position:
2theta	I (rel.)
14.4	34
25.0	80
29.0	100
32.5	17
41.4	74
49.0	36
51.3	26
66.0	14
68.0	32
75.5	23

For AcPr5Ho2Tm, a PBE-relaxed structure gives the calculated X-ray powder pattern in this record (Cu Kα, 1.54184 Å).
Peak positions follow from Bragg's law for the DFT cell and can differ from measured ones.

Structural model:
```
18
Lattice="2.792 -12.313 0.000 2.792 12.313 0.000 0.000 0.000 9.539" Properties=species:S:1:pos:R:3 pbc="T T T"
Ac 2.792 9.794 4.770
Ac 2.792 -9.794 0.000
Pr 2.792 11.710 7.915
Pr 2.792 9.656 1.011
Pr 2.792 7.634 7.580
Pr 2.792 6.374 4.135
Pr 2.792 0.265 5.860
Pr 2.792 -0.265 1.090
Pr 2.792 -6.374 8.905
Pr 2.792 -7.634 2.811
Pr 2.792 -9.656 5.781
Pr 2.792 -11.710 3.145
Ho 2.792 4.308 7.149
Ho 2.792 2.767 3.415
Ho 2.792 -2.767 8.185
Ho 2.792 -4.308 2.380
Tm 2.792 5.814 1.020
Tm 2.792 -5.814 5.790
```

Principal peaks in the range 2θ = 10–90°, sorted by position:
2theta	I (rel.)
26.9	29
28.7	29
29.0	36
30.6	98
31.5	100
32.1	71
32.6	67
43.6	19
43.8	24
56.8	19

For Y2Er3Pt4, a PBE-relaxed structure gives the calculated X-ray powder pattern in this record (Cu Kα, 1.54184 Å).
Peak positions follow from Bragg's law for the DFT cell and can differ from measured ones.

Structural model:
```
18
Lattice="7.617 0.000 0.000 0.000 7.649 0.000 -2.558 0.000 7.090" Properties=species:S:1:pos:R:3 pbc="T T T"
Y 1.282 1.368 0.513
Y 0.003 2.457 4.058
Y 5.056 5.193 3.032
Y 3.777 6.281 6.577
Er 1.227 5.095 1.746
Er -0.052 6.379 5.291
Er 2.529 0.000 3.545
Er 3.808 3.825 0.000
Er 5.111 1.270 1.799
Er 3.832 2.554 5.344
Pt -1.520 4.100 6.037
Pt -0.241 7.374 2.492
Pt 1.518 1.036 6.153
Pt 2.797 2.789 2.608
Pt 2.262 4.861 4.482
Pt 3.540 6.613 0.937
Pt 5.300 0.275 4.598
Pt 6.579 3.549 1.053
```

Principal peaks in the range 2θ = 10–90°, sorted by position:
2theta	I (rel.)
17.0	23
31.1	40
33.5	63
33.6	26
33.7	18
33.9	57
34.3	24
37.5	36
37.7	100
38.2	21